Entry 1:
Simulated powder diffractogram
Compound: SmHo4In
Radiation: copper Kα
Structure: a crystal structure in Alexandria, relaxed with PBE
Kinematic intensities with the Lorentz-polarization factor, no thermal factor.

Cell and atoms:
```
data_SmHo4In
_symmetry_space_group_name_H-M 'C m c 21'
_symmetry_Int_Tables_number 36
_symmetry_space_group_name_Hall 'C 2c -2'
_cell_length_a 4.8643
_cell_length_b 14.7463
_cell_length_c 9.8809
_cell_angle_alpha 90.00
_cell_angle_beta 90.00
_cell_angle_gamma 90.00
loop_
_atom_site_label
_atom_site_type_symbol
_atom_site_fract_x
_atom_site_fract_y
_atom_site_fract_z
Sm1 Sm 0.0000 0.1681 0.0000
Ho1 Ho 0.0000 0.0045 0.2583
Ho2 Ho 0.0000 0.1665 0.5148
Ho3 Ho 0.0000 0.3266 0.2581
Ho4 Ho 0.0000 0.4989 0.0079
In1 In 0.0000 0.3358 0.7588
```

Most intense lines, 15° ≤ 2θ ≤ 90°, in order of rising 2θ:
two_theta, d_spacing, I_rel, index
31.58, 2.833, 100, 1 3 2
36.37, 2.470, 17, 0 0 4
36.56, 2.458, 17, 0 6 0
36.96, 2.432, 17, 2 0 0
52.52, 1.742, 12, 0 6 4
52.82, 1.733, 12, 2 0 4
62.47, 1.487, 14, 1 3 6
62.72, 1.481, 14, 1 9 2
63.26, 1.470, 14, 3 3 2
65.95, 1.416, 12, 2 6 4

---

Entry 2:
Simulated powder diffractogram
Compound: SmHo3In2
Radiation: copper Kα
Structure: a crystal structure in Alexandria, relaxed with PBE
Kinematic intensities with the Lorentz-polarization factor, no thermal factor.

Cell and atoms:
```
data_SmHo3In2
_symmetry_space_group_name_H-M 'P n m a'
_symmetry_Int_Tables_number 62
_symmetry_space_group_name_Hall '-P 2ac 2n'
_cell_length_a 8.9406
_cell_length_b 3.5186
_cell_length_c 22.1089
_cell_angle_alpha 90.00
_cell_angle_beta 90.00
_cell_angle_gamma 90.00
loop_
_atom_site_label
_atom_site_type_symbol
_atom_site_fract_x
_atom_site_fract_y
_atom_site_fract_z
Sm1 Sm 0.1596 0.2500 0.1613
Ho1 Ho 0.0389 0.2500 0.4232
Ho2 Ho 0.1087 0.2500 0.9370
Ho3 Ho 0.2122 0.7500 0.8030
In1 In 0.0200 0.2500 0.7089
In2 In 0.2479 0.2500 0.5418
```

Most intense lines, 15° ≤ 2θ ≤ 90°, in order of rising 2θ:
two_theta, d_spacing, I_rel, index
30.26, 2.953, 25, 3 0 1
31.46, 2.843, 19, 2 0 6
31.76, 2.817, 100, 1 1 4
32.39, 2.764, 75, 0 0 8
32.52, 2.753, 25, 0 1 5
32.64, 2.744, 19, 2 1 1
34.18, 2.623, 50, 3 0 4
34.65, 2.589, 43, 2 1 3
51.98, 1.759, 21, 0 2 0
63.70, 1.461, 22, 3 2 4

---

Entry 3:
Simulated powder diffractogram
Compound: SmHoIn
Radiation: copper Kα
Structure: a crystal structure in Alexandria, relaxed with PBE
Kinematic intensities with the Lorentz-polarization factor, no thermal factor.

Cell and atoms:
```
data_SmHoIn
_symmetry_space_group_name_H-M 'P 3 m 1'
_symmetry_Int_Tables_number 156
_symmetry_space_group_name_Hall 'P 3 -2"'
_cell_length_a 5.2562
_cell_length_b 5.2562
_cell_length_c 3.6728
_cell_angle_alpha 90.00
_cell_angle_beta 90.00
_cell_angle_gamma 120.00
loop_
_atom_site_label
_atom_site_type_symbol
_atom_site_fract_x
_atom_site_fract_y
_atom_site_fract_z
Sm1 Sm 0.0000 0.0000 0.0000
Ho1 Ho 0.6667 0.3333 0.4450
In1 In 0.3333 0.6667 0.6557
```

Most intense lines, 15° ≤ 2θ ≤ 90°, in order of rising 2θ:
two_theta, d_spacing, I_rel, index
31.29, 2.858, 100, 1 0 1
34.12, 2.628, 81, 1 1 0
46.97, 1.935, 32, 0 2 1
53.83, 1.703, 16, 0 1 2
59.31, 1.558, 32, 2 1 1
61.07, 1.517, 15, 3 0 0
65.29, 1.429, 9, 2 0 2
71.84, 1.314, 9, 2 2 0
75.76, 1.256, 11, 1 2 2
80.44, 1.194, 13, 1 3 1

---

Entry 4:
Simulated powder diffractogram
Compound: Sm6Ho3In
Radiation: copper Kα
Structure: a crystal structure in Alexandria, relaxed with PBE
Kinematic intensities with the Lorentz-polarization factor, no thermal factor.

Cell and atoms:
```
data_Sm6Ho3In
_symmetry_space_group_name_H-M 'P 1 21/m 1'
_symmetry_Int_Tables_number 11
_symmetry_space_group_name_Hall '-P 2yb'
_cell_length_a 12.8764
_cell_length_b 3.5224
_cell_length_c 14.3683
_cell_angle_alpha 90.00
_cell_angle_beta 100.50
_cell_angle_gamma 90.00
loop_
_atom_site_label
_atom_site_type_symbol
_atom_site_fract_x
_atom_site_fract_y
_atom_site_fract_z
Sm1 Sm 0.0098 0.2500 0.3090
Sm2 Sm 0.1588 0.2500 0.8839
Sm3 Sm 0.2517 0.7500 0.3037
Sm4 Sm 0.2705 0.7500 0.7137
Sm5 Sm 0.3112 0.7500 0.0756
Sm6 Sm 0.3875 0.2500 0.5340
Ho1 Ho 0.0789 0.2500 0.0967
Ho2 Ho 0.1293 0.7500 0.5010
Ho3 Ho 0.4281 0.2500 0.8944
In1 In 0.4679 0.2500 0.2734
```

Most intense lines, 15° ≤ 2θ ≤ 90°, in order of rising 2θ:
two_theta, d_spacing, I_rel, index
27.36, 3.260, 17, 1 1 1
30.26, 2.953, 47, 2 1 1
31.04, 2.881, 64, 4 0 -3
31.70, 2.823, 100, 0 0 5
33.05, 2.710, 46, 4 0 2
33.13, 2.704, 36, 3 1 0
37.00, 2.430, 28, 2 1 -4
49.29, 1.849, 19, 3 1 5
51.92, 1.761, 18, 0 2 0
61.72, 1.503, 21, 4 2 -3

---

Entry 5:
Simulated powder diffractogram
Compound: SmHoIn
Radiation: copper Kα
Structure: a crystal structure in Alexandria, relaxed with PBE
Kinematic intensities with the Lorentz-polarization factor, no thermal factor.

Cell and atoms:
```
data_SmHoIn
_symmetry_space_group_name_H-M 'I 4 m m'
_symmetry_Int_Tables_number 107
_symmetry_space_group_name_Hall 'I 4 -2'
_cell_length_a 3.5746
_cell_length_b 3.5746
_cell_length_c 13.8186
_cell_angle_alpha 90.00
_cell_angle_beta 90.00
_cell_angle_gamma 90.00
loop_
_atom_site_label
_atom_site_type_symbol
_atom_site_fract_x
_atom_site_fract_y
_atom_site_fract_z
Sm1 Sm 0.0000 0.0000 0.0000
Ho1 Ho 0.0000 0.0000 0.6902
In1 In 0.0000 0.0000 0.3406
```

Most intense lines, 15° ≤ 2θ ≤ 90°, in order of rising 2θ:
two_theta, d_spacing, I_rel, index
25.76, 3.458, 6, 0 0 4
31.68, 2.824, 100, 1 0 3
35.52, 2.528, 38, 1 1 0
39.11, 2.303, 13, 0 0 6
51.10, 1.787, 14, 2 0 0
53.85, 1.702, 20, 1 1 6
61.39, 1.510, 30, 2 1 3
66.21, 1.411, 19, 2 0 6
83.87, 1.154, 6, 3 0 3
88.22, 1.108, 13, 2 2 6

---

Entry 6:
Simulated powder diffractogram
Compound: Sm2Ho3In2
Radiation: copper Kα
Structure: a crystal structure in Alexandria, relaxed with PBE
Kinematic intensities with the Lorentz-polarization factor, no thermal factor.

Cell and atoms:
```
data_Sm2Ho3In2
_symmetry_space_group_name_H-M 'C 1 2/m 1'
_symmetry_Int_Tables_number 12
_symmetry_space_group_name_Hall '-C 2y'
_cell_length_a 9.3703
_cell_length_b 5.4191
_cell_length_c 8.6603
_cell_angle_alpha 90.00
_cell_angle_beta 111.22
_cell_angle_gamma 90.00
loop_
_atom_site_label
_atom_site_type_symbol
_atom_site_fract_x
_atom_site_fract_y
_atom_site_fract_z
Sm1 Sm 0.0769 0.0000 0.2305
Ho1 Ho 0.0000 0.5000 0.5000
Ho2 Ho 0.1528 0.5000 0.9582
In1 In 0.2171 0.0000 0.6512
```

Most intense lines, 15° ≤ 2θ ≤ 90°, in order of rising 2θ:
two_theta, d_spacing, I_rel, index
32.15, 2.784, 100, 1 1 2
33.09, 2.707, 100, 0 2 0
46.81, 1.941, 35, 4 0 1
56.72, 1.623, 15, 2 0 4
58.51, 1.577, 36, 1 3 2
59.10, 1.563, 19, 6 0 -2
67.26, 1.392, 9, 4 0 -6
69.47, 1.353, 8, 6 2 -2
76.99, 1.239, 8, 4 2 -6
78.53, 1.218, 10, 5 3 -4

---

Entry 7:
Simulated powder diffractogram
Compound: SmHo15In4
Radiation: copper Kα
Structure: a crystal structure in Alexandria, relaxed with PBE
Kinematic intensities with the Lorentz-polarization factor, no thermal factor.

Cell and atoms:
```
data_SmHo15In4
_symmetry_space_group_name_H-M 'P 4/m m m'
_symmetry_Int_Tables_number 123
_symmetry_space_group_name_Hall '-P 4 2'
_cell_length_a 4.8367
_cell_length_b 4.8367
_cell_length_c 24.6158
_cell_angle_alpha 90.00
_cell_angle_beta 90.00
_cell_angle_gamma 90.00
loop_
_atom_site_label
_atom_site_type_symbol
_atom_site_fract_x
_atom_site_fract_y
_atom_site_fract_z
Sm1 Sm 0.0000 0.0000 0.0000
Ho1 Ho 0.0000 0.5000 0.1059
Ho2 Ho 0.0000 0.5000 0.3037
Ho3 Ho 0.0000 0.5000 0.5000
Ho4 Ho 0.5000 0.5000 0.0000
Ho5 Ho 0.5000 0.5000 0.2058
Ho6 Ho 0.5000 0.5000 0.4021
In1 In 0.0000 0.0000 0.2067
In2 In 0.0000 0.0000 0.4021
```

Most intense lines, 15° ≤ 2θ ≤ 90°, in order of rising 2θ:
two_theta, d_spacing, I_rel, index
31.86, 2.809, 100, 1 1 5
36.50, 2.462, 16, 0 0 10
37.18, 2.418, 34, 2 0 0
53.09, 1.725, 22, 2 0 10
53.59, 1.710, 12, 2 2 0
62.81, 1.480, 12, 1 1 15
63.71, 1.461, 27, 3 1 5
66.59, 1.404, 12, 2 2 10
87.10, 1.119, 10, 3 1 15
87.92, 1.111, 6, 3 3 5

---

Entry 8:
Simulated powder diffractogram
Compound: Sm2Ho5In
Radiation: copper Kα
Structure: a crystal structure in Alexandria, relaxed with PBE
Kinematic intensities with the Lorentz-polarization factor, no thermal factor.

Cell and atoms:
```
data_Sm2Ho5In
_symmetry_space_group_name_H-M 'C 1 m 1'
_symmetry_Int_Tables_number 8
_symmetry_space_group_name_Hall 'C -2y'
_cell_length_a 11.2171
_cell_length_b 7.0957
_cell_length_c 8.2801
_cell_angle_alpha 90.00
_cell_angle_beta 132.34
_cell_angle_gamma 90.00
loop_
_atom_site_label
_atom_site_type_symbol
_atom_site_fract_x
_atom_site_fract_y
_atom_site_fract_z
Sm1 Sm 0.0000 0.0000 0.0000
Sm2 Sm 0.1098 0.0000 0.6842
Ho1 Ho 0.0746 0.5000 0.6828
Ho2 Ho 0.2562 0.2620 0.5137
Ho3 Ho 0.3377 0.2495 0.1752
In1 In 0.0163 0.5000 0.0298
```

Most intense lines, 15° ≤ 2θ ≤ 90°, in order of rising 2θ:
two_theta, d_spacing, I_rel, index
29.12, 3.066, 29, 0 0 2
31.91, 2.804, 29, 4 0 -2
33.28, 2.692, 100, 2 2 0
33.43, 2.680, 20, 2 0 -3
43.67, 2.073, 9, 4 0 0
51.69, 1.769, 15, 0 2 3
57.66, 1.599, 11, 6 2 -2
61.90, 1.499, 17, 4 4 -2
62.18, 1.493, 8, 4 2 -5
62.77, 1.480, 12, 2 4 -3